AcSm2Er4: calculated XRD peak list (Cu Kα, 1.54184 Å), based on a DFT-relaxed cell (PBE, Alexandria).
Peak positions follow from Bragg's law for the DFT cell and can differ from measured ones.

Crystal structure
```
AcSm2Er4
1.0
6.867 0.000 0.000
1.920 8.328 0.000
2.935 3.241 8.241
Ac Sm Er
2 4 8
Direct
0.000 0.000 0.000
0.471 0.895 0.139
0.133 0.557 0.299
0.283 0.138 0.575
0.338 0.338 0.840
0.618 0.469 0.419
0.037 0.185 0.276
0.184 0.755 0.566
0.434 0.707 0.862
0.565 0.289 0.155
0.718 0.850 0.447
0.754 0.042 0.694
0.855 0.429 0.723
0.907 0.607 0.981
```

Most intense lines, 2θ = 10–90°, in order of rising 2θ:
| index | 2theta | I/Imax |
| --- | --- | --- |
| 0 1 -2 | 28.00 | 21 |
| -1 1 2 | 28.14 | 48 |
| 2 2 2 | 30.95 | 72 |
| 1 0 3 | 32.05 | 100 |
| 1 2 -1 | 32.11 | 98 |
| 0 3 1 | 32.31 | 94 |
| 3 1 0 | 42.15 | 23 |
| 1 -3 2 | 49.58 | 20 |
| 3 2 5 | 55.69 | 20 |
| 2 5 3 | 56.06 | 20 |
| 4 -1 0 | 59.60 | 22 |
| 1 5 0 | 59.79 | 22 |